No. 1
The following is a calculated powder diffractogram of La12Pm7Y. It was derived from a crystal structure in Alexandria, relaxed with GGA-PBE, using Cu Kα (λ = 1.5418 Å).

Crystal structure
Lattice parameters (Å, degrees): 19.7421 19.7421 6.4444 90.00 90.00 120.00
Space group R-3m (No. 166, hexagonal axes)
One atom of each set of equivalent atoms:
La (0.0000, 0.4075, 0.0000)
La (0.0966, 0.5483, 0.4778)
Pm (0.0000, 0.0000, 0.0000)
Pm (0.0840, 0.1680, 0.3002)
Y (0.0000, 0.0000, 0.5000)

Top 10 peaks for 2θ = 10–90°, sorted by position:
(3 3 0), 2θ 27.10, 3.290 Å, rel. 34; (0 1 2), 2θ 28.18, 3.166 Å, rel. 17; (0 5 1), 2θ 29.59, 3.019 Å, rel. 100; (5 1 1), 2θ 32.29, 2.772 Å, rel. 23; (5 2 0), 2θ 32.71, 2.738 Å, rel. 26; (3 1 2), 2θ 33.63, 2.665 Å, rel. 18; (5 0 2), 2θ 38.38, 2.345 Å, rel. 22; (7 0 1), 2θ 39.46, 2.284 Å, rel. 20; (5 5 0), 2θ 45.97, 1.974 Å, rel. 16; (0 7 2), 2θ 46.66, 1.946 Å, rel. 18

---

No. 2
The following is a calculated powder diffractogram of Te3W2S. It was derived from a crystal structure in Alexandria, relaxed with GGA-PBE, using Cu Kα (λ = 1.5418 Å).

Crystal structure
Lattice parameters (Å, degrees): 3.4545 3.4545 35.8915 90.00 90.00 120.00
Space group P3m1 (No. 156)
One atom of each set of equivalent atoms:
Te (0.0000, 0.0000, 0.0000)
Te (0.0000, 0.0000, 0.1036)
Te (0.0000, 0.0000, 0.4242)
Te (0.0000, 0.0000, 0.5278)
Te (0.3333, 0.6667, 0.2113)
Te (0.3333, 0.6667, 0.3149)
W (0.0000, 0.0000, 0.2631)
W (0.0000, 0.0000, 0.8504)
W (0.3333, 0.6667, 0.0518)
W (0.3333, 0.6667, 0.4760)
S (0.3333, 0.6667, 0.8089)
S (0.3333, 0.6667, 0.8919)

Top 10 peaks for 2θ = 10–90°, sorted by position:
(0 0 5), 2θ 12.33, 7.178 Å, rel. 81; (1 0 0), 2θ 29.87, 2.992 Å, rel. 44; (0 1 7), 2θ 34.72, 2.584 Å, rel. 100; (1 0 8), 2θ 36.09, 2.489 Å, rel. 25; (0 1 11), 2θ 40.93, 2.205 Å, rel. 15; (0 1 12), 2θ 42.75, 2.115 Å, rel. 66; (1 1 0), 2θ 53.03, 1.727 Å, rel. 39; (2 0 7), 2θ 64.94, 1.436 Å, rel. 16; (2 0 12), 2θ 70.37, 1.338 Å, rel. 17; (1 1 19), 2θ 74.43, 1.275 Å, rel. 20

---

No. 3
The following is a calculated powder diffractogram of PuAg3Hg. It was derived from a crystal structure in Alexandria, relaxed with GGA-PBE, using Cu Kα (λ = 1.5418 Å).

Crystal structure
Lattice parameters (Å, degrees): 6.0837 5.8005 6.2882 90.00 93.15 90.00
Space group P2_1/m (No. 11)
One atom of each set of equivalent atoms:
Pu (0.1508, 0.2500, 0.1520)
Ag (0.3497, 0.5010, 0.6638)
Ag (0.3715, 0.7500, 0.0458)
Hg (0.0595, 0.7500, 0.3621)

Top 10 peaks for 2θ = 10–90°, sorted by position:
(0 2 0), 2θ 30.83, 2.900 Å, rel. 26; (2 0 -1), 2θ 32.02, 2.795 Å, rel. 25; (0 1 2), 2θ 32.43, 2.761 Å, rel. 56; (1 0 2), 2θ 32.83, 2.728 Å, rel. 33; (2 0 1), 2θ 33.47, 2.677 Å, rel. 61; (1 2 0), 2θ 34.26, 2.617 Å, rel. 55; (1 1 -2), 2θ 35.04, 2.561 Å, rel. 82; (2 1 -1), 2θ 35.66, 2.518 Å, rel. 85; (1 2 1), 2θ 37.54, 2.396 Å, rel. 100; (2 3 -1), 2θ 58.00, 1.590 Å, rel. 21

---

No. 4
The following is a calculated powder diffractogram of SrPm4Pr15. It was derived from a crystal structure in Alexandria, relaxed with GGA-PBE, using Cu Kα (λ = 1.5418 Å).

Crystal structure
Lattice parameters (Å, degrees): 5.2710 5.2710 26.2886 90.00 90.00 90.00
Space group P4/mmm (No. 123)
One atom of each set of equivalent atoms:
Sr (0.0000, 0.0000, 0.0000)
Pm (0.0000, 0.0000, 0.2026)
Pm (0.0000, 0.0000, 0.4012)
Pr (0.0000, 0.5000, 0.1059)
Pr (0.0000, 0.5000, 0.3023)
Pr (0.0000, 0.5000, 0.5000)
Pr (0.5000, 0.5000, 0.0000)
Pr (0.5000, 0.5000, 0.2027)
Pr (0.5000, 0.5000, 0.4007)

Top 10 peaks for 2θ = 10–90°, sorted by position:
(1 1 5), 2θ 29.37, 3.041 Å, rel. 100; (2 0 0), 2θ 34.05, 2.633 Å, rel. 51; (2 2 0), 2θ 48.92, 1.862 Å, rel. 36; (3 1 5), 2θ 58.05, 1.589 Å, rel. 29; (1 1 15), 2θ 58.17, 1.586 Å, rel. 13; (2 2 10), 2θ 60.94, 1.520 Å, rel. 12; (3 3 5), 2θ 79.23, 1.209 Å, rel. 6; (3 1 15), 2θ 79.33, 1.208 Å, rel. 11; (4 2 0), 2θ 81.70, 1.179 Å, rel. 6; (4 0 10), 2θ 81.75, 1.178 Å, rel. 5